No. 1
Structure and computed XRD peak list of LiAg4Ge (the GGA-PBE geometry in Alexandria; a wavelength of 1.5418 Å).

Atomic structure:
Cell: 3.8775 5.0755 5.9659 Å, 73.78 89.78 67.57°
Space group P-1 (No. 2)
Inequivalent atoms, fractional coordinates:
Li 0.0000 0.0000 0.0000
Ag 0.3375 0.3256 0.6728
Ag 0.3389 0.3218 0.1619
Ge 0.0000 0.0000 0.5000

Top 10 peaks for 2θ = 15–90°, low angle first:
Position (°2θ)	intensity	h k l
19.8	9	0 1 0
25.0	18	1 0 0
38.0	100	1 2 0
38.1	33	1 0 -2
42.5	24	0 1 -2
43.3	23	0 2 2
46.9	18	2 1 0
62.3	15	0 1 4
75.9	12	1 3 4
81.2	10	3 1 -2


No. 2
Structure and computed XRD peak list of Li3Ag2Ge3 (the GGA-PBE geometry in Alexandria; a wavelength of 1.5418 Å).

Atomic structure:
Cell: 6.4351 6.4351 6.4351 Å, 90.00 90.00 90.00°
Space group Pn-3m (No. 224, origin choice 2)
Inequivalent atoms, fractional coordinates:
Li 0.0000 0.0000 0.0000
Li 0.2500 0.2500 0.2500
Ag 0.0000 0.0000 0.5000
Ge 0.2500 0.2500 0.7500

Top 10 peaks for 2θ = 15–90°, low angle first:
Position (°2θ)	intensity	h k l
19.5	14	1 1 0
24.0	54	1 1 1
34.1	7	2 1 1
39.6	100	2 2 0
46.8	26	3 1 1
57.3	16	4 0 0
63.0	10	3 3 1
71.9	33	4 2 2
77.0	7	5 1 1
85.3	10	4 4 0


No. 3
Structure and computed XRD peak list of Li3Ag3Ge2 (the GGA-PBE geometry in Alexandria; a wavelength of 1.5418 Å).

Atomic structure:
Cell: 13.6601 4.4695 4.6905 Å, 90.00 109.30 90.00°
Space group C2/m (No. 12)
Inequivalent atoms, fractional coordinates:
Li 0.0000 0.0000 0.0000
Li 0.1330 0.0000 0.6732
Ag 0.0000 0.5000 0.5000
Ag 0.1232 0.5000 0.1022
Ge 0.2488 0.5000 0.7005

Top 10 peaks for 2θ = 15–90°, low angle first:
Position (°2θ)	intensity	h k l
21.0	100	1 1 0
28.4	35	4 0 -1
38.4	33	2 0 -2
39.3	69	3 1 1
39.7	85	5 1 -1
40.4	34	0 2 0
44.1	31	1 1 -2
50.1	14	4 2 -1
56.9	20	2 2 -2
70.5	14	6 0 2


No. 4
Structure and computed XRD peak list of Li3Ag6Ge (the GGA-PBE geometry in Alexandria; a wavelength of 1.5418 Å).

Atomic structure:
Cell: 10.3925 13.1438 5.2086 Å, 90.00 90.00 90.00°
Space group Cmc2_1 (No. 36)
Inequivalent atoms, fractional coordinates:
Li 0.0000 0.1341 0.0000
Li 0.1938 0.4050 0.6478
Ag 0.0000 0.2475 0.5006
Ag 0.0000 0.4645 0.3300
Ag 0.1324 0.0486 0.5070
Ag 0.2219 0.2908 0.1866
Ge 0.0000 0.3353 0.9577

Top 10 peaks for 2θ = 15–90°, low angle first:
Position (°2θ)	intensity	h k l
21.8	100	0 2 1
26.6	67	3 1 0
27.1	43	0 4 0
36.7	53	2 4 1
37.2	68	4 2 0
37.3	64	3 3 1
38.7	47	2 0 2
39.4	93	1 5 1
41.1	71	2 2 2
47.9	55	4 4 1


No. 5
Structure and computed XRD peak list of Li2Ag5Ge2 (the GGA-PBE geometry in Alexandria; a wavelength of 1.5418 Å).

Atomic structure:
Cell: 12.4602 10.8141 4.7837 Å, 90.00 101.78 90.00°
Space group Cc (No. 9)
Inequivalent atoms, fractional coordinates:
Li 0.0000 0.1522 0.0000
Li 0.2057 0.2919 0.9970
Ag 0.0167 0.4203 0.0115
Ag 0.1275 0.0801 0.5896
Ag 0.2110 0.4251 0.4792
Ag 0.3145 0.0770 0.0867
Ag 0.3965 0.4223 0.9387
Ge 0.0158 0.3012 0.5081
Ge 0.3194 0.2029 0.5902

Top 10 peaks for 2θ = 15–90°, low angle first:
Position (°2θ)	intensity	h k l
16.4	44	0 2 0
20.6	30	1 1 -1
27.1	63	2 2 -1
36.1	45	3 3 -1
37.8	87	5 1 0
38.4	51	0 0 2
39.8	89	2 4 -1
40.8	100	3 3 1
41.6	26	1 1 2
48.8	34	5 1 -2


No. 6
Structure and computed XRD peak list of Li2Ag3Ge2 (the GGA-PBE geometry in Alexandria; a wavelength of 1.5418 Å).

Atomic structure:
Cell: 9.1340 4.0270 6.5674 Å, 90.00 99.85 90.00°
Space group C2/m (No. 12)
Inequivalent atoms, fractional coordinates:
Li 0.0731 0.0000 0.2213
Ag 0.0000 0.5000 0.5000
Ag 0.2145 0.0000 0.6475
Ge 0.1449 0.5000 0.9333

Top 10 peaks for 2θ = 15–90°, low angle first:
Position (°2θ)	intensity	h k l
22.0	19	2 0 -1
24.2	28	1 1 0
38.1	100	3 1 -1
38.3	98	1 1 2
43.3	34	2 0 -3
44.9	31	4 0 1
45.0	33	0 2 0
64.2	20	2 2 -3
65.4	20	4 2 1
78.5	23	3 3 -1